[1]
Theoretical PXRD pattern
Compound: Ca11C2N10
Radiation: CuKα
Structure: a structure optimized by DFT (PBE)
Kinematic intensities with the Lorentz-polarization factor, no thermal factor.

Main lines, most intense first (10 to 90 degrees two-theta):
| h k l | Position (°2θ) | intensity |
| --- | --- | --- |
| 3 2 1 | 33.26 | 100.0 |
| 5 1 0 | 31.30 | 55.6 |
| 4 4 0 | 34.83 | 48.3 |
| 3 3 1 | 36.08 | 44.1 |
| 7 1 1 | 51.02 | 41.7 |
| 2 2 1 | 30.21 | 37.0 |
| 4 3 1 | 39.74 | 26.4 |
| 0 0 2 | 50.51 | 23.9 |
| 4 4 2 | 62.83 | 16.7 |
| 5 1 2 | 60.64 | 15.6 |

Structural model:
abc: 14.5702 14.5702 3.6138
angles: 90.00 90.00 90.00
Space group P4_2/mnm (No. 136)
One atom of each set of equivalent atoms:
Ca (0.0000, 0.0000, 0.0000)
Ca (0.0196, 0.2048, 0.5000)
Ca (0.1063, 0.6183, 0.5000)
Ca (0.1673, 0.8327, 0.0000)
C (0.1842, 0.1842, 0.0000)
N (0.0280, 0.6888, 0.0000)
N (0.0898, 0.9102, 0.5000)
N (0.1237, 0.1237, 0.0000)
N (0.2442, 0.2442, 0.0000)

[2]
Theoretical PXRD pattern
Compound: DySi2Ni10
Radiation: CuKα
Structure: a structure optimized by DFT (PBE)
Kinematic intensities with the Lorentz-polarization factor, no thermal factor.

Main lines, most intense first (10 to 90 degrees two-theta):
| h k l | Position (°2θ) | intensity |
| --- | --- | --- |
| 4 0 0 | 44.45 | 100.0 |
| 2 0 2 | 44.73 | 34.4 |
| 3 0 1 | 38.29 | 33.1 |
| 2 1 1 | 31.10 | 20.6 |
| 0 0 2 | 38.58 | 15.5 |
| 6 3 1 | 81.80 | 14.5 |
| 2 2 2 | 50.28 | 14.5 |
| 3 2 3 | 73.92 | 11.6 |
| 6 0 2 | 81.98 | 10.8 |
| 4 2 0 | 50.01 | 10.3 |

Structural model:
abc: 8.1628 8.1628 4.6675
angles: 90.00 90.00 90.00
Space group P4/nmm (No. 129, origin choice 2)
One atom of each set of equivalent atoms:
Dy (0.2500, 0.2500, 0.2212)
Si (0.0000, 0.0000, 0.5000)
Ni (0.0000, 0.0000, 0.0000)
Ni (0.0264, 0.2500, 0.7288)
Ni (0.1029, 0.7500, 0.7614)

[3]
Theoretical PXRD pattern
Compound: Be22Re
Radiation: CuKα
Structure: a structure optimized by DFT (PBE)
Kinematic intensities with the Lorentz-polarization factor, no thermal factor.

Main lines, most intense first (10 to 90 degrees two-theta):
| h k l | Position (°2θ) | intensity |
| --- | --- | --- |
| 2 2 0 | 21.86 | 100.0 |
| 1 1 1 | 13.34 | 85.5 |
| 3 1 1 | 25.70 | 71.2 |
| 4 2 2 | 38.35 | 46.9 |
| 5 3 1 | 46.74 | 42.1 |
| 3 3 1 | 33.99 | 32.6 |
| 6 2 0 | 50.18 | 30.4 |
| 5 1 1 | 40.78 | 25.4 |
| 6 4 2 | 60.23 | 24.5 |
| 4 0 0 | 31.11 | 20.7 |

Structural model:
abc: 11.4980 11.4980 11.4980
angles: 90.00 90.00 90.00
Space group Fd-3m (No. 227, origin choice 2)
One atom of each set of equivalent atoms:
Be (0.0000, 0.0000, 0.0000)
Be (0.0000, 0.0000, 0.5000)
Be (0.0104, 0.3750, 0.3750)
Be (0.0596, 0.0596, 0.8244)
Re (0.1250, 0.1250, 0.6250)

[4]
Theoretical PXRD pattern
Compound: MgCuH4O2F2
Radiation: CuKα
Structure: a structure optimized by DFT (PBE)
Kinematic intensities with the Lorentz-polarization factor, no thermal factor.

Main lines, most intense first (10 to 90 degrees two-theta):
| h k l | Position (°2θ) | intensity |
| --- | --- | --- |
| 0 2 0 | 18.01 | 100.0 |
| 2 0 0 | 22.45 | 78.6 |
| 3 1 -1 | 38.67 | 42.0 |
| 1 1 1 | 38.02 | 41.7 |
| 0 4 0 | 36.47 | 34.3 |
| 3 1 0 | 35.19 | 31.8 |
| 1 1 0 | 14.35 | 31.8 |
| 0 0 1 | 31.22 | 28.3 |
| 2 0 -1 | 31.61 | 25.5 |
| 1 1 -1 | 30.68 | 23.0 |

Structural model:
abc: 8.4386 9.8534 3.0515
angles: 90.00 110.16 90.00
Space group C2/m (No. 12)
One atom of each set of equivalent atoms:
Mg (0.0000, 0.0000, 0.0000)
Cu (0.0000, 0.5000, 0.5000)
H (0.1025, 0.2478, 0.5976)
O (0.0000, 0.3059, 0.5000)
F (0.1580, 0.0000, 0.6499)

What did the first record say?
Theoretical PXRD pattern
Compound: Ca11C2N10
Radiation: CuKα
Structure: a structure optimized by DFT (PBE)
Kinematic intensities with the Lorentz-polarization factor, no thermal factor.

Main lines, most intense first (10 to 90 degrees two-theta):
| h k l | Position (°2θ) | intensity |
| --- | --- | --- |
| 3 2 1 | 33.26 | 100.0 |
| 5 1 0 | 31.30 | 55.6 |
| 4 4 0 | 34.83 | 48.3 |
| 3 3 1 | 36.08 | 44.1 |
| 7 1 1 | 51.02 | 41.7 |
| 2 2 1 | 30.21 | 37.0 |
| 4 3 1 | 39.74 | 26.4 |
| 0 0 2 | 50.51 | 23.9 |
| 4 4 2 | 62.83 | 16.7 |
| 5 1 2 | 60.64 | 15.6 |

Structural model:
abc: 14.5702 14.5702 3.6138
angles: 90.00 90.00 90.00
Space group P4_2/mnm (No. 136)
One atom of each set of equivalent atoms:
Ca (0.0000, 0.0000, 0.0000)
Ca (0.0196, 0.2048, 0.5000)
Ca (0.1063, 0.6183, 0.5000)
Ca (0.1673, 0.8327, 0.0000)
C (0.1842, 0.1842, 0.0000)
N (0.0280, 0.6888, 0.0000)
N (0.0898, 0.9102, 0.5000)
N (0.1237, 0.1237, 0.0000)
N (0.2442, 0.2442, 0.0000)